# 1
Calculated XRD peak list of Ba5Bi3O11 for Cu Kα, 1.54184 Å, from the GGA-PBE geometry in Alexandria.

```
19
Lattice="9.192 0.000 0.000 0.000 4.446 4.519 0.000 -4.446 4.519" Properties=species:S:1:pos:R:3 pbc="T T T"
Ba 0.000 0.000 0.000
Ba 2.567 -2.125 6.479
Ba 2.567 2.125 6.479
Ba 6.624 -2.125 6.479
Ba 6.624 2.125 6.479
Bi 0.000 0.000 4.524
Bi 4.596 0.000 4.245
Bi 4.596 0.000 8.730
O 0.000 0.000 2.441
O 0.000 -1.855 5.629
O 0.000 1.855 5.629
O 2.277 0.000 4.572
O 2.422 0.000 8.438
O 4.596 0.000 1.917
O 4.596 -2.255 4.289
O 4.596 0.000 6.501
O 4.596 2.255 4.289
O 6.770 0.000 8.438
O 6.914 0.000 4.572
```

Largest 10 diffraction maxima, most intense first, 15° ≤ 2θ ≤ 90°:
- 2θ 28.16, I 1000
- 2θ 27.92, I 887
- 2θ 27.69, I 875
- 2θ 49.40, I 369
- 2θ 49.83, I 352
- 2θ 48.96, I 352
- 2θ 40.58, I 247
- 2θ 39.20, I 235
- 2θ 39.90, I 210
- 2θ 57.70, I 141

=====

# 2
Calculated XRD peak list of Na4Ir3PdSe8 for Cu Kα, 1.54184 Å, from the GGA-PBE geometry in Alexandria.

```
16
Lattice="3.859 2.228 6.624 -3.859 2.228 6.624 0.000 -4.456 6.624" Properties=species:S:1:pos:R:3 pbc="T T T"
Na 0.000 0.000 0.000
Na -1.929 -1.114 6.624
Na -1.929 1.114 13.247
Na 0.000 2.228 6.624
Ir -3.859 0.000 9.936
Ir -1.929 1.114 3.312
Ir 1.929 1.114 3.312
Pd 0.000 0.000 9.936
Se -1.983 -1.145 11.189
Se 0.000 0.000 4.540
Se 0.000 -2.289 8.682
Se -1.983 1.145 8.682
Se 1.983 -1.145 11.189
Se 0.000 2.289 11.189
Se 0.000 0.000 15.331
Se 1.983 1.145 8.682
```

Largest 10 diffraction maxima, most intense first, 15° ≤ 2θ ≤ 90°:
- 2θ 32.29, I 1000
- 2θ 47.10, I 389
- 2θ 41.75, I 325
- 2θ 45.50, I 263
- 2θ 49.19, I 235
- 2θ 27.06, I 216
- 2θ 58.26, I 181
- 2θ 58.04, I 155
- 2θ 78.07, I 152
- 2θ 89.81, I 93

=====

# 3
Calculated XRD peak list of Pr5Sm4In2 for Cu Kα, 1.54184 Å, from the GGA-PBE geometry in Alexandria.

```
11
Lattice="11.853 -1.805 0.000 11.853 1.805 0.000 -0.824 0.000 8.493" Properties=species:S:1:pos:R:3 pbc="T T T"
Pr 0.000 0.000 0.000
Pr 7.163 0.000 4.413
Pr 8.029 0.000 8.371
Pr 14.854 0.000 0.122
Pr 15.720 0.000 4.080
Sm 4.780 0.000 6.997
Sm 10.468 0.000 5.510
Sm 12.415 0.000 2.983
Sm 18.103 0.000 1.496
In 1.478 0.000 5.776
In 21.405 0.000 2.717
```

Largest 10 diffraction maxima, most intense first, 15° ≤ 2θ ≤ 90°:
- 2θ 33.84, I 1000
- 2θ 33.57, I 995
- 2θ 31.12, I 839
- 2θ 32.49, I 537
- 2θ 27.24, I 513
- 2θ 31.79, I 512
- 2θ 52.25, I 392
- 2θ 56.75, I 288
- 2θ 61.84, I 275
- 2θ 60.58, I 248

=====

# 4
Calculated XRD peak list of La8Ho2Sc3 for Cu Kα, 1.54184 Å, from the GGA-PBE geometry in Alexandria.

```
13
Lattice="6.642 -5.853 0.000 6.642 5.853 0.000 -2.152 0.000 5.595" Properties=species:S:1:pos:R:3 pbc="T T T"
La 0.115 0.000 1.609
La 2.736 2.850 4.814
La 3.901 0.000 2.288
La 8.397 2.850 0.781
La 2.736 -2.850 4.814
La 7.231 0.000 3.307
La 8.397 -2.850 0.781
La 11.017 0.000 3.986
Ho 0.885 0.000 4.697
Ho 10.247 0.000 0.899
Sc 5.566 3.022 2.798
Sc 6.642 0.000 0.000
Sc 5.566 -3.022 2.798
```

Largest 10 diffraction maxima, most intense first, 15° ≤ 2θ ≤ 90°:
- 2θ 31.48, I 1000
- 2θ 30.55, I 564
- 2θ 31.09, I 376
- 2θ 32.13, I 316
- 2θ 54.88, I 223
- 2θ 29.33, I 211
- 2θ 38.97, I 210
- 2θ 38.10, I 196
- 2θ 33.72, I 164
- 2θ 22.93, I 162

=====

# 5
Calculated XRD peak list of NaScCl4 for Cu Kα, 1.54184 Å, from the GGA-PBE geometry in Alexandria.

```
24
Lattice="6.354 0.000 0.000 0.000 15.693 0.000 0.000 0.000 6.429" Properties=species:S:1:pos:R:3 pbc="T T T"
Na 0.000 2.819 1.607
Na 0.000 12.874 4.822
Na 3.177 5.027 4.822
Na 3.177 10.666 1.607
Sc 0.000 6.745 1.607
Sc 0.000 8.948 4.822
Sc 3.177 1.102 4.822
Sc 3.177 14.592 1.607
Cl 1.405 7.072 3.675
Cl 1.405 8.621 0.461
Cl 1.470 5.068 0.684
Cl 1.470 10.626 3.898
Cl 1.707 2.779 3.898
Cl 1.707 12.914 0.684
Cl 1.772 0.774 0.461
Cl 1.772 14.919 3.675
Cl 4.582 0.774 2.754
Cl 4.582 14.919 5.968
Cl 4.647 2.779 5.745
Cl 4.647 12.914 2.530
Cl 4.884 5.068 2.530
Cl 4.884 10.626 5.745
Cl 4.949 7.072 5.968
Cl 4.949 8.621 2.754
```

Largest 10 diffraction maxima, most intense first, 15° ≤ 2θ ≤ 90°:
- 2θ 30.17, I 1000
- 2θ 39.08, I 662
- 2θ 31.18, I 540
- 2θ 15.04, I 491
- 2θ 20.45, I 405
- 2θ 48.41, I 388
- 2θ 39.88, I 317
- 2θ 17.84, I 170
- 2θ 46.28, I 169
- 2θ 51.02, I 151

=====

# 6
Calculated XRD peak list of Rb2VS4 for Cu Kα, 1.54184 Å, from the GGA-PBE geometry in Alexandria.

```
14
Lattice="7.400 0.000 0.000 0.000 5.438 0.000 -1.317 0.000 12.024" Properties=species:S:1:pos:R:3 pbc="T T T"
Rb 1.157 1.360 4.817
Rb 0.500 1.360 11.805
Rb 5.582 4.079 0.220
Rb 4.925 4.079 7.207
V 1.311 4.079 8.904
V 4.771 1.360 3.120
S -0.505 4.079 10.051
S 0.999 4.079 6.802
S 3.307 2.872 2.474
S 3.307 5.285 2.474
S 2.775 0.153 9.550
S 2.775 2.566 9.550
S 5.083 1.360 5.222
S 6.587 1.360 1.973
```

Largest 10 diffraction maxima, most intense first, 15° ≤ 2θ ≤ 90°:
- 2θ 17.90, I 1000
- 2θ 25.96, I 699
- 2θ 22.05, I 648
- 2θ 31.20, I 621
- 2θ 41.29, I 586
- 2θ 20.07, I 578
- 2θ 27.01, I 557
- 2θ 24.18, I 480
- 2θ 24.38, I 459
- 2θ 34.12, I 403

=====

# 7
Calculated XRD peak list of Y4PtRh3 for Cu Kα, 1.54184 Å, from the GGA-PBE geometry in Alexandria.

```
8
Lattice="4.856 0.000 0.000 0.000 4.856 0.000 0.000 0.000 6.989" Properties=species:S:1:pos:R:3 pbc="T T T"
Y 0.000 2.428 1.739
Y 0.000 2.428 5.250
Y 2.428 0.000 1.739
Y 2.428 0.000 5.250
Pt 0.000 0.000 3.494
Rh 0.000 0.000 0.000
Rh 2.428 2.428 0.000
Rh 2.428 2.428 3.494
```

Largest 10 diffraction maxima, most intense first, 15° ≤ 2θ ≤ 90°:
- 2θ 36.69, I 1000
- 2θ 37.02, I 488
- 2θ 66.51, I 341
- 2θ 65.86, I 175
- 2θ 53.36, I 168
- 2θ 78.03, I 107
- 2θ 52.37, I 89
- 2θ 88.68, I 80
- 2θ 78.84, I 52
- 2θ 25.95, I 34

=====

# 8
Calculated XRD peak list of Na8B13C3 for Cu Kα, 1.54184 Å, from the GGA-PBE geometry in Alexandria.

```
24
Lattice="17.553 -1.401 0.000 17.553 1.401 0.000 -0.799 0.000 5.263" Properties=species:S:1:pos:R:3 pbc="T T T"
Na 0.000 0.000 0.000
Na 4.268 0.000 0.664
Na 8.553 0.000 1.311
Na 12.848 0.000 1.961
Na 17.142 0.000 2.621
Na 21.450 0.000 3.279
Na 25.707 0.000 3.942
Na 29.986 0.000 4.601
B 1.639 0.000 3.671
B 6.164 0.000 2.658
B 5.903 0.000 4.410
B 10.407 0.000 3.472
B 10.143 0.000 5.228
B 15.274 0.000 0.481
B 14.713 0.000 4.111
B 19.554 0.000 1.284
B 19.019 0.000 4.795
B 24.079 0.000 0.270
B 28.134 0.000 2.350
B 32.675 0.000 1.484
B 32.418 0.000 3.108
C 1.880 0.000 2.109
C 23.838 0.000 1.832
C 28.371 0.000 0.788
```

Largest 10 diffraction maxima, most intense first, 15° ≤ 2θ ≤ 90°:
- 2θ 41.97, I 1000
- 2θ 39.73, I 506
- 2θ 41.63, I 379
- 2θ 61.89, I 186
- 2θ 36.23, I 164
- 2θ 33.67, I 137
- 2θ 76.21, I 132
- 2θ 56.35, I 95
- 2θ 80.59, I 94
- 2θ 77.32, I 89